Structure and simulated powder XRD pattern of LiPa4Ga12 (a DFT-relaxed cell (GGA-PBE, Alexandria); λ = 1.5418 Å (Cu Kα)).
No peak broadening, texture or thermal motion is included.

a = 8.670 Å, b = 8.670 Å, c = 8.670 Å
α = 90.00°, β = 90.00°, γ = 90.00°
Space group Im-3m (No. 229)
Asymmetric unit:
Li: 0.000 0.000 0.000 x2
Pa: 0.250 0.250 0.250 x8
Ga: 0.000 0.000 0.292 x12
Ga: 0.000 0.250 0.500 x12

Top 10 peaks for 10 to 90 degrees two-theta, by angle:
d_spacing  I (rel.)  h k l
4.335  34  2 0 0
3.065  37  2 2 0
2.503  100  2 2 2
2.168  49  4 0 0
1.939  21  4 2 0
1.770  13  4 2 2
1.533  30  4 4 0
1.445  12  4 4 2
1.307  33  6 2 2
1.159  10  6 4 2